[1]
The following is a calculated powder XRD pattern of Li6Br3N. It was derived from a DFT-relaxed cell (PBE, the Materials Project), using Cu Ka.
Neutral-atom scattering factors, no anomalous dispersion.

Atomic structure:
```
Li6Br3N
1.0
6.272 0.000 0.000
0.000 6.384 0.000
-6.217 0.000 9.054
Li Br N
12 6 2
direct
0.093 0.236 0.426
0.093 0.264 0.926
0.216 0.671 0.965
0.216 0.829 0.465
0.298 0.062 0.700
0.298 0.438 0.200
0.702 0.562 0.800
0.702 0.938 0.300
0.784 0.171 0.535
0.784 0.329 0.035
0.907 0.736 0.074
0.907 0.764 0.574
0.249 0.018 0.257
0.249 0.482 0.757
0.500 0.000 0.000
0.500 0.500 0.500
0.751 0.518 0.243
0.751 0.982 0.743
0.000 0.000 0.500
0.000 0.500 0.000
```

Peak list (8 most intense, 10 to 80 degrees two-theta, in order of falling intensity)
2θ/deg	intensity
27.97	100
28.10	66
49.52	33
28.46	31
40.32	27
17.21	15
39.83	14
50.26	14

***

[2]
The following is a calculated powder XRD pattern of Li6Br3N. It was derived from a DFT-relaxed cell (PBE, the Materials Project), using Cu Ka.
Neutral-atom scattering factors, no anomalous dispersion.

Atomic structure:
```
Li6Br3N
1.0
0.000 4.522 4.522
4.522 0.000 4.522
4.522 4.522 0.000
Li Br N
6 3 1
direct
0.212 0.212 0.788
0.212 0.788 0.212
0.212 0.788 0.788
0.788 0.212 0.212
0.788 0.212 0.788
0.788 0.788 0.212
0.250 0.250 0.250
0.500 0.500 0.500
0.750 0.750 0.750
0.000 0.000 0.000
```

Peak list (8 most intense, 10 to 80 degrees two-theta, in order of falling intensity)
2θ/deg	intensity
27.90	100
49.36	38
39.87	24
79.26	20
65.24	17
57.65	15
16.98	12
32.84	10

***

[3]
The following is a calculated powder XRD pattern of Na2LiTlBr6. It was derived from a DFT-relaxed cell (PBE, the Materials Project), using Cu Ka.
Neutral-atom scattering factors, no anomalous dispersion.

Atomic structure:
```
Na2LiTlBr6
1.0
0.000 5.453 5.453
5.453 0.000 5.453
5.453 5.453 0.000
Na Li Tl Br
2 1 1 6
direct
0.250 0.250 0.250
0.750 0.750 0.750
0.000 0.000 0.000
0.500 0.500 0.500
0.247 0.247 0.753
0.247 0.753 0.247
0.247 0.753 0.753
0.753 0.247 0.247
0.753 0.247 0.753
0.753 0.753 0.247
```

Peak list (8 most intense, 10 to 80 degrees two-theta, in order of falling intensity)
2θ/deg	intensity
16.25	100
32.85	98
47.14	70
14.06	58
36.86	52
27.12	45
28.35	40
78.43	31

***

[4]
The following is a calculated powder XRD pattern of Rb2LiNdBr6. It was derived from a DFT-relaxed cell (PBE, the Materials Project), using Cu Ka.
Neutral-atom scattering factors, no anomalous dispersion.

Atomic structure:
```
Rb2LiNdBr6
1.0
0.000 5.632 5.632
5.632 0.000 5.632
5.632 5.632 0.000
Rb Li Nd Br
2 1 1 6
direct
0.250 0.250 0.250
0.750 0.750 0.750
0.000 0.000 0.000
0.500 0.500 0.500
0.244 0.244 0.756
0.244 0.756 0.244
0.244 0.756 0.756
0.756 0.244 0.244
0.756 0.244 0.756
0.756 0.756 0.244
```

Peak list (8 most intense, 10 to 80 degrees two-theta, in order of falling intensity)
2θ/deg	intensity
31.78	100
27.43	79
45.56	72
54.00	34
75.50	31
56.62	25
13.62	22
26.24	21

***

[5]
The following is a calculated powder XRD pattern of Li3BrO. It was derived from a DFT-relaxed cell (PBE, the Materials Project), using Cu Ka.
Neutral-atom scattering factors, no anomalous dispersion.

Atomic structure:
```
Li3BrO
1.0
4.006 0.000 0.000
0.000 4.006 0.000
0.000 0.000 4.006
Li Br O
3 1 1
direct
0.000 0.000 0.500
0.000 0.500 0.000
0.500 0.000 0.000
0.500 0.500 0.500
0.000 0.000 0.000
```

Peak list (8 most intense, 10 to 80 degrees two-theta, in order of falling intensity)
2θ/deg	intensity
31.59	100
22.19	48
56.25	35
38.94	28
45.27	26
50.98	22
65.96	16
74.97	14

***

[6]
The following is a calculated powder XRD pattern of Li7Br3O2. It was derived from a DFT-relaxed cell (PBE, the Materials Project), using Cu Ka.
Neutral-atom scattering factors, no anomalous dispersion.

Atomic structure:
```
Li7Br3O2
1.0
-1.991 1.991 10.875
1.991 -1.991 10.875
1.991 1.991 -10.875
Li Br O
7 3 2
direct
0.000 0.000 0.000
0.093 0.593 0.500
0.181 0.181 0.000
0.407 0.907 0.500
0.593 0.093 0.500
0.819 0.819 0.000
0.907 0.407 0.500
0.311 0.311 0.000
0.500 0.500 0.000
0.689 0.689 0.000
0.092 0.092 0.000
0.908 0.908 0.000
```

Peak list (8 most intense, 10 to 80 degrees two-theta, in order of falling intensity)
2θ/deg	intensity
30.43	100
31.77	51
22.70	34
55.77	33
40.56	25
45.55	24
53.21	15
24.56	15

***

[7]
The following is a calculated powder XRD pattern of Li2BrO. It was derived from a DFT-relaxed cell (PBE, the Materials Project), using Cu Ka.
Neutral-atom scattering factors, no anomalous dispersion.

Atomic structure:
```
Li2BrO
1.0
4.015 0.000 0.000
0.000 4.015 0.000
0.000 0.000 3.900
Li Br O
2 1 1
direct
0.000 0.500 0.000
0.500 0.000 0.000
0.000 0.000 0.500
0.500 0.500 0.000
```

Peak list (8 most intense, 10 to 80 degrees two-theta, in order of falling intensity)
2θ/deg	intensity
31.99	100
22.14	54
31.51	42
56.42	36
39.25	33
45.16	22
22.80	17
57.33	13

***

[8]
The following is a calculated powder XRD pattern of LiBrO. It was derived from a DFT-relaxed cell (PBE, the Materials Project), using Cu Ka.
Neutral-atom scattering factors, no anomalous dispersion.

Atomic structure:
```
LiBrO
1.0
6.682 0.000 0.000
0.000 3.826 0.000
0.000 0.000 4.203
Li Br O
2 2 2
direct
0.250 0.000 0.241
0.750 0.000 0.759
0.250 0.500 0.706
0.750 0.500 0.294
0.000 0.000 0.000
0.500 0.000 0.000
```

Peak list (8 most intense, 10 to 80 degrees two-theta, in order of falling intensity)
2θ/deg	intensity
34.42	100
25.03	90
35.68	56
23.25	34
26.68	34
52.27	30
51.39	26
54.45	20

***

[9]
The following is a calculated powder XRD pattern of Li2BrO. It was derived from a DFT-relaxed cell (PBE, the Materials Project), using Cu Ka.
Neutral-atom scattering factors, no anomalous dispersion.

Atomic structure:
```
Li2BrO
1.0
4.726 0.000 0.000
0.000 4.726 0.000
0.000 0.000 3.360
Li Br O
2 1 1
direct
0.000 0.500 0.000
0.500 0.000 0.000
0.000 0.000 0.000
0.500 0.500 0.500
```

Peak list (8 most intense, 10 to 80 degrees two-theta, in order of falling intensity)
2θ/deg	intensity
32.70	100
18.78	85
26.68	70
51.05	52
38.08	39
26.53	25
47.01	21
42.79	21

***

[10]
The following is a calculated powder XRD pattern of LiP4Br12O4. It was derived from a DFT-relaxed cell (PBE, the Materials Project), using Cu Ka.
Neutral-atom scattering factors, no anomalous dispersion.

Atomic structure:
```
LiP4Br12O4
1.0
6.249 0.000 0.000
-0.665 10.728 0.000
-0.001 -0.012 11.207
Li P Br O
1 4 12 4
direct
0.000 0.000 0.000
0.023 0.112 0.500
0.245 0.483 0.000
0.540 0.970 0.000
0.731 0.611 0.500
0.247 0.278 0.500
0.301 0.002 0.835
0.302 0.005 0.165
0.443 0.442 0.844
0.444 0.446 0.156
0.522 0.768 0.502
0.744 0.787 0.001
0.811 0.137 0.655
0.811 0.138 0.345
0.941 0.642 0.656
0.941 0.645 0.344
0.991 0.331 0.001
0.126 0.993 0.500
0.164 0.609 0.998
0.614 0.487 0.499
0.718 0.072 0.000
```

Peak list (8 most intense, 10 to 80 degrees two-theta, in order of falling intensity)
2θ/deg	intensity
22.56	100
27.84	91
18.34	87
44.54	43
23.90	41
21.17	33
28.82	32
29.33	32